[1]
This entry pairs a crystal structure of AsPIr with its simulated X-ray diffraction stick pattern. Radiation: a wavelength of 1.5418 Å. Structure: the PBE geometry in Alexandria.
Lines closer than 0.1° are merged.

a = 5.971 Å, b = 5.989 Å, c = 6.078 Å
α = 90.00°, β = 112.29°, γ = 90.00°
Space group P2_1 (No. 4)
Inequivalent atoms, fractional coordinates:
As  0.158  0.000  0.120 (multiplicity 2)
As  0.335  0.498  0.438 (multiplicity 2)
P  0.153  0.746  0.625 (multiplicity 2)
P  0.338  0.252  0.934 (multiplicity 2)
Ir  0.263  0.118  0.551 (multiplicity 2)
Ir  0.281  0.618  0.033 (multiplicity 2)

The 10 most intense peaks (10° ≤ 2θ ≤ 90°), in order of rising 2θ:
2theta  I_rel  (hkl)
23.17  100  1 1 -1
29.84  44  0 2 0
30.53  22  1 1 1
31.83  39  0 0 2
32.41  47  2 0 0
44.63  26  2 2 0
47.39  43  1 1 -3
48.25  32  3 1 -1
49.14  27  1 3 -1
53.40  27  1 3 1



[2]
This entry pairs a crystal structure of AsIrPb with its simulated X-ray diffraction stick pattern. Radiation: a wavelength of 1.5418 Å. Structure: the PBE geometry in Alexandria.
Lines closer than 0.1° are merged.

a = 3.153 Å, b = 3.153 Å, c = 13.037 Å
α = 90.00°, β = 90.00°, γ = 90.00°
Space group I4mm (No. 107)
Inequivalent atoms, fractional coordinates:
As  0.000  0.000  0.000 (multiplicity 2)
Ir  0.000  0.000  0.405 (multiplicity 2)
Pb  0.000  0.000  0.731 (multiplicity 2)

The 10 most intense peaks (10° ≤ 2θ ≤ 90°), in order of rising 2θ:
2theta  I_rel  (hkl)
13.58  25  0 0 2
27.36  17  0 0 4
29.14  18  1 0 1
35.17  100  1 0 3
40.46  43  1 1 0
49.54  14  1 1 4
57.47  15  1 0 7
58.56  15  2 0 0
59.40  14  1 1 6
70.18  28  2 1 3



[3]
This entry pairs a crystal structure of Pm4AsIrS2 with its simulated X-ray diffraction stick pattern. Radiation: a wavelength of 1.5418 Å. Structure: the PBE geometry in Alexandria.
Lines closer than 0.1° are merged.

a = 5.839 Å, b = 5.839 Å, c = 11.704 Å
α = 90.00°, β = 90.00°, γ = 90.00°
Space group I4/mmm (No. 139)
Inequivalent atoms, fractional coordinates:
Pm  0.000  0.000  0.246 (multiplicity 4)
Pm  0.000  0.500  0.000 (multiplicity 4)
As  0.000  0.000  0.500 (multiplicity 2)
Ir  0.000  0.000  0.000 (multiplicity 2)
S  0.000  0.500  0.250 (multiplicity 4)

The 10 most intense peaks (10° ≤ 2θ ≤ 90°), in order of rising 2θ:
2theta  I_rel  (hkl)
16.97  9  1 0 1
26.42  15  1 1 2
30.60  100  2 0 0
43.82  74  2 2 0
54.39  26  2 2 4
63.76  8  4 0 0
72.23  11  2 0 8
72.37  22  4 2 0
80.46  8  2 2 8
80.57  17  4 2 4